# Rb2MgFe2S4
Computed powder X-ray diffraction pattern, Cu Kα (λ = 1.5418 Å). Input: a crystal structure in the Materials Project, relaxed with PBE.
Peak positions follow from Bragg's law for the DFT cell and can differ from measured ones.

The 10 most intense peaks (10° ≤ 2θ ≤ 90°), in order of rising 2θ:
| 2theta | intensity | (hkl) |
| --- | --- | --- |
| 12.48 | 100 | 0 1 1 |
| 20.02 | 18 | 1 0 1 |
| 25.10 | 22 | 0 2 2 |
| 25.20 | 26 | 0 3 1 |
| 25.34 | 33 | 1 2 1 |
| 29.11 | 30 | 1 3 0 |
| 34.69 | 25 | 1 0 3 |
| 40.68 | 17 | 2 0 2 |
| 43.76 | 19 | 2 2 2 |
| 52.81 | 23 | 2 3 3 |

Structural model:
Lattice parameters (Å, degrees): 5.0974 11.5251 9.0034 90.00 90.00 90.00
Space group Imm2 (No. 44)
One atom of each set of equivalent atoms:
Rb (0.0000, 0.2033, 0.0000) (multiplicity 4)
Mg (0.0000, 0.0000, 0.4179) (multiplicity 2)
Fe (0.2468, 0.5000, 0.1797) (multiplicity 4)
S (0.0000, 0.1509, 0.6443) (multiplicity 4)
S (0.0000, 0.5000, 0.3686) (multiplicity 2)
S (0.0000, 0.5000, 0.9697) (multiplicity 2)